This entry pairs a crystal structure of YMnO3 with its simulated X-ray powder pattern. Radiation: Cu Kα X-rays. Structure: a structure optimized by DFT (GGA+U).
Intensities are scaled so that the largest is 100.

Most intense lines, 15 to 90 degrees two-theta, low angle first:
| hkl | 2theta | I (rel.) |
| --- | --- | --- |
| 1 1 1 | 24.41 | 66 |
| 0 2 0 | 26.68 | 51 |
| 0 2 1 | 29.71 | 91 |
| 1 0 -2 | 29.95 | 100 |
| 1 1 2 | 33.47 | 70 |
| 2 1 0 | 34.15 | 93 |
| 1 2 -2 | 40.54 | 35 |
| 0 1 3 | 41.51 | 35 |
| 1 3 1 | 45.77 | 39 |
| 0 1 4 | 54.96 | 36 |

Crystal structure
```
YMnO3
1.0
5.7122 0.0000 0.0000
0.0000 6.6813 0.0000
-0.1577 0.0000 6.9017
Y Mn O
4 4 12
direct
0.1546 0.1570 0.3311 Y
0.1546 0.3430 0.8311 Y
0.8454 0.6570 0.1689 Y
0.8454 0.8430 0.6689 Y
0.3861 0.6989 0.4311 Mn
0.3861 0.8011 0.9311 Mn
0.6139 0.1989 0.0689 Mn
0.6139 0.3011 0.5689 Mn
0.0827 0.6689 0.8776 O
0.0827 0.8311 0.3776 O
0.2928 0.0996 0.0256 O
0.2928 0.4004 0.5256 O
0.4347 0.6338 0.1604 O
0.4347 0.8662 0.6604 O
0.5653 0.1338 0.3396 O
0.5653 0.3662 0.8396 O
0.7072 0.5996 0.4744 O
0.7072 0.9004 0.9744 O
0.9173 0.1689 0.6224 O
0.9173 0.3311 0.1224 O
```